The following is a theoretical X-ray diffraction stick pattern of BaNdCo2O5. It was derived from DFT lattice parameters and positions (GGA+U), using Cu Kα, 1.54184 Å.

Unit cell a=3.871 b=4.013 c=7.585 alpha=90.00 beta=90.00 gamma=90.00
Sites, in units of the cell vectors:
Ba 0.000 0.000 0.000
Nd 0.000 0.000 0.500
Co 0.500 0.500 0.254
Co 0.500 0.500 0.746
O 0.000 0.500 0.308
O 0.000 0.500 0.692
O 0.500 0.000 0.300
O 0.500 0.000 0.700
O 0.500 0.500 0.000

The 10 most intense peaks (2θ = 15–90°), in order of rising 2θ:
index, Position (°2θ), d_spacing, intensity
1 1 0, 32.13, 2.786, 86
0 1 2, 32.48, 2.756, 100
1 0 2, 33.07, 2.709, 97
1 1 2, 40.16, 2.245, 36
0 2 0, 45.19, 2.007, 31
2 0 0, 46.94, 1.936, 27
0 0 4, 47.98, 1.896, 21
1 2 2, 57.12, 1.612, 40
2 1 2, 58.24, 1.584, 37
1 1 4, 58.92, 1.568, 39